Starting from a crystal structure in Alexandria, relaxed with GGA-PBE, the powder diffraction line list of Sr2Li5Pt5 was calculated for Cu Kα X-rays.

abc: 4.096 5.578 9.401
angles: 90.00 90.00 90.00
Fractional coordinates of all 12 atoms:
Sr 0.000 0.000 0.000
Sr 0.000 0.500 0.500
Li 0.000 0.000 0.317
Li 0.000 0.000 0.683
Li 0.000 0.500 0.168
Li 0.000 0.500 0.832
Li 0.500 0.000 0.500
Pt 0.500 0.247 0.252
Pt 0.500 0.247 0.748
Pt 0.500 0.500 0.000
Pt 0.500 0.753 0.252
Pt 0.500 0.753 0.748

Top 8 peaks for 10 to 90 degrees two-theta, by intensity:
two_theta  d_spacing  I (rel.)  (hkl)
37.49  2.399  100  0 2 2
21.70  4.096  91  1 0 0
28.91  3.088  84  1 0 2
43.73  2.070  66  1 2 2
59.33  1.558  54  2 2 2
38.30  2.350  48  0 0 4
28.66  3.115  43  1 1 1
39.07  2.305  41  1 2 0

***

Starting from a crystal structure in Alexandria, relaxed with GGA-PBE, the powder diffraction line list of LiHg3Pb2 was calculated for Cu Kα X-rays.

abc: 4.824 8.651 7.662
angles: 90.00 106.97 90.00
Fractional coordinates of all 12 atoms:
Li 0.162 0.000 0.316
Li 0.838 0.000 0.684
Hg 0.000 0.239 0.000
Hg 0.000 0.761 0.000
Hg 0.314 0.205 0.636
Hg 0.314 0.795 0.636
Hg 0.686 0.205 0.364
Hg 0.686 0.795 0.364
Pb 0.172 0.500 0.337
Pb 0.500 0.000 0.000
Pb 0.500 0.500 0.000
Pb 0.828 0.500 0.663

Top 8 peaks for 10 to 90 degrees two-theta, by intensity:
two_theta  d_spacing  I (rel.)  (hkl)
33.07  2.709  100  1 2 1
33.58  2.669  97  1 2 -2
37.29  2.411  43  2 0 -1
36.79  2.443  39  0 0 3
28.27  3.157  23  1 1 -2
31.01  2.884  20  0 3 0
41.77  2.163  18  0 4 0
27.67  3.224  18  1 1 1